This entry pairs a crystal structure of KSn4Au with its theoretical powder diffraction line list. Radiation: CuKα. Structure: a crystal structure in Alexandria, relaxed with GGA-PBE.
Lines closer than 0.1° are merged.

Peak list (6 most intense, 2θ from 15° to 90°, most intense first)
| 2θ (°) | I/Imax |
| --- | --- |
| 38.83 | 100.0 |
| 15.90 | 81.3 |
| 40.70 | 66.9 |
| 32.09 | 65.3 |
| 35.51 | 64.9 |
| 36.22 | 51.8 |

Atomic structure:
a b c (Å): 5.0566 22.1934 6.4522
angles (deg): 90.00 90.00 90.00
Space group Cmcm (No. 63)
Asymmetric unit:
K 0.0000 0.1215 0.2500 x4
Sn 0.0000 0.0427 0.7500 x4
Sn 0.0000 0.2850 0.5123 x8
Sn 0.0000 0.5000 0.0000 x4
Au 0.0000 0.3845 0.2500 x4